For Mg5ScPb8, a structure optimized by DFT (GGA-PBE) gives the calculated XRD peak list in this record (a wavelength of 1.5418 Å).

Lattice parameters (Å, degrees): 7.9867 7.9867 7.9867 109.91 109.91 108.60
Fractional coordinates of all 14 atoms:
1 Mg 0.0000 0.0000 0.0000
2 Mg 0.2274 0.0406 0.5907
3 Mg 0.3634 0.7726 0.8133
4 Mg 0.4499 0.6366 0.4093
5 Mg 0.9594 0.5501 0.1867
6 Sc 0.7500 0.2500 0.5000
7 Pb 0.1055 0.3199 0.4112
8 Pb 0.1719 0.4060 0.9061
9 Pb 0.3057 0.8945 0.2144
10 Pb 0.4999 0.2658 0.0939
11 Pb 0.5940 0.5001 0.7659
12 Pb 0.6801 0.0913 0.7856
13 Pb 0.7342 0.8281 0.2341
14 Pb 0.9087 0.6943 0.5888

The 10 most intense peaks (2θ from 10° to 80°), low angle first:
2θ 23.5, rel. 25; 2θ 23.7, rel. 100; 2θ 30.4, rel. 48; 2θ 30.8, rel. 87; 2θ 36.3, rel. 56; 2θ 36.5, rel. 56; 2θ 36.6, rel. 38; 2θ 48.5, rel. 32; 2θ 50.7, rel. 37; 2θ 60.1, rel. 19